(1)
Starting from a structure optimized by DFT (GGA-PBE), the powder diffractogram of YAl2N3 was calculated for λ = 1.5418 Å (Cu Kα).
Kinematic intensities with the Lorentz-polarization factor, no thermal factor.

Largest 12 diffraction maxima, low angle first, 2θ from 10° to 80°:
- 2θ = 17.41°, rel. 27
- 2θ = 24.71°, rel. 60
- 2θ = 30.53°, rel. 35
- 2θ = 30.92°, rel. 33
- 2θ = 34.76°, rel. 50
- 2θ = 35.24°, rel. 100
- 2θ = 35.58°, rel. 26
- 2θ = 47.20°, rel. 17
- 2θ = 50.69°, rel. 18
- 2θ = 54.75°, rel. 25
- 2θ = 62.62°, rel. 23
- 2θ = 66.50°, rel. 22

Structure:
a = 5.857 Å, b = 5.857 Å, c = 5.162 Å
α = 90.00°, β = 90.00°, γ = 59.17°
Fractional coordinates of all 12 atoms:
Y: 0.192 0.808 0.500
Y: 0.808 0.192 0.000
Al: 0.159 0.490 0.024
Al: 0.490 0.159 0.524
Al: 0.510 0.841 0.024
Al: 0.841 0.510 0.524
N: 0.168 0.444 0.389
N: 0.210 0.790 0.969
N: 0.444 0.168 0.889
N: 0.556 0.832 0.389
N: 0.790 0.210 0.469
N: 0.832 0.556 0.889

(2)
Starting from a structure optimized by DFT (GGA-PBE), the powder diffractogram of Ga3Au was calculated for λ = 1.5418 Å (Cu Kα).
Kinematic intensities with the Lorentz-polarization factor, no thermal factor.

Largest 12 diffraction maxima, low angle first, 2θ from 10° to 80°:
- 2θ = 16.25°, rel. 12
- 2θ = 26.43°, rel. 24
- 2θ = 28.35°, rel. 14
- 2θ = 32.85°, rel. 27
- 2θ = 39.15°, rel. 100
- 2θ = 42.12°, rel. 18
- 2θ = 49.03°, rel. 10
- 2θ = 54.42°, rel. 13
- 2θ = 58.65°, rel. 20
- 2θ = 72.79°, rel. 16
- 2θ = 74.81°, rel. 20
- 2θ = 74.99°, rel. 15

Structure:
a = 6.297 Å, b = 6.297 Å, c = 4.291 Å
α = 90.00°, β = 90.00°, γ = 120.00°
Fractional coordinates of all 8 atoms:
Ga: 0.167 0.334 0.250
Ga: 0.167 0.833 0.250
Ga: 0.334 0.167 0.750
Ga: 0.666 0.833 0.250
Ga: 0.833 0.167 0.750
Ga: 0.833 0.666 0.750
Au: 0.333 0.667 0.750
Au: 0.667 0.333 0.250

(3)
Starting from a structure optimized by DFT (GGA-PBE), the powder diffractogram of Cs3AsCl6 was calculated for λ = 1.5418 Å (Cu Kα).
Kinematic intensities with the Lorentz-polarization factor, no thermal factor.

Largest 12 diffraction maxima, low angle first, 2θ from 10° to 80°:
- 2θ = 21.75°, rel. 100
- 2θ = 26.72°, rel. 16
- 2θ = 30.95°, rel. 55
- 2θ = 33.81°, rel. 6
- 2θ = 38.15°, rel. 42
- 2θ = 44.34°, rel. 36
- 2θ = 49.91°, rel. 26
- 2θ = 55.06°, rel. 12
- 2θ = 59.90°, rel. 28
- 2θ = 68.95°, rel. 12
- 2θ = 73.27°, rel. 14
- 2θ = 77.48°, rel. 8

Structure:
a = 8.171 Å, b = 8.171 Å, c = 8.171 Å
α = 60.00°, β = 60.00°, γ = 60.00°
Fractional coordinates of all 10 atoms:
Cs: 0.000 0.000 0.000
Cs: 0.250 0.250 0.250
Cs: 0.750 0.750 0.750
As: 0.500 0.500 0.500
Cl: 0.282 0.282 0.718
Cl: 0.282 0.718 0.282
Cl: 0.282 0.718 0.718
Cl: 0.718 0.282 0.282
Cl: 0.718 0.282 0.718
Cl: 0.718 0.718 0.282

(4)
Starting from a structure optimized by DFT (GGA-PBE), the powder diffractogram of Ce5Fe2B6 was calculated for λ = 1.5418 Å (Cu Kα).
Kinematic intensities with the Lorentz-polarization factor, no thermal factor.

Largest 12 diffraction maxima, low angle first, 2θ from 10° to 80°:
- 2θ = 22.34°, rel. 23
- 2θ = 26.91°, rel. 20
- 2θ = 32.68°, rel. 35
- 2θ = 33.73°, rel. 100
- 2θ = 35.86°, rel. 23
- 2θ = 40.84°, rel. 42
- 2θ = 47.68°, rel. 12
- 2θ = 57.91°, rel. 23
- 2θ = 59.67°, rel. 12
- 2θ = 60.34°, rel. 21
- 2θ = 70.94°, rel. 12
- 2θ = 78.78°, rel. 11

Structure:
a = 8.529 Å, b = 8.529 Å, c = 8.529 Å
α = 36.30°, β = 36.30°, γ = 36.30°
Fractional coordinates of all 13 atoms:
Ce: 0.000 0.000 0.000
Ce: 0.253 0.253 0.253
Ce: 0.414 0.414 0.414
Ce: 0.586 0.586 0.586
Ce: 0.747 0.747 0.747
Fe: 0.117 0.117 0.117
Fe: 0.883 0.883 0.883
B: 0.168 0.500 0.832
B: 0.168 0.832 0.500
B: 0.500 0.168 0.832
B: 0.500 0.832 0.168
B: 0.832 0.168 0.500
B: 0.832 0.500 0.168

(5)
Starting from a structure optimized by DFT (GGA-PBE), the powder diffractogram of K2OsNCl5 was calculated for λ = 1.5418 Å (Cu Kα).
Kinematic intensities with the Lorentz-polarization factor, no thermal factor.

Largest 12 diffraction maxima, low angle first, 2θ from 10° to 80°:
- 2θ = 12.13°, rel. 23
- 2θ = 12.57°, rel. 22
- 2θ = 14.91°, rel. 63
- 2θ = 15.27°, rel. 100
- 2θ = 17.32°, rel. 39
- 2θ = 21.35°, rel. 19
- 2θ = 21.46°, rel. 19
- 2θ = 26.77°, rel. 20
- 2θ = 27.62°, rel. 18
- 2θ = 29.07°, rel. 20
- 2θ = 34.33°, rel. 29
- 2θ = 37.64°, rel. 16

Structure:
a = 8.332 Å, b = 8.332 Å, c = 10.241 Å
α = 90.00°, β = 90.00°, γ = 122.31°
Fractional coordinates of all 18 atoms:
K: 0.091 0.909 0.500
K: 0.217 0.783 0.003
K: 0.783 0.217 0.503
K: 0.909 0.091 0.000
Os: 0.348 0.652 0.360
Os: 0.652 0.348 0.860
N: 0.384 0.616 0.206
N: 0.616 0.384 0.706
Cl: 0.030 0.568 0.321
Cl: 0.234 0.339 0.440
Cl: 0.285 0.715 0.592
Cl: 0.339 0.234 0.940
Cl: 0.432 0.970 0.321
Cl: 0.568 0.030 0.821
Cl: 0.661 0.766 0.440
Cl: 0.715 0.285 0.092
Cl: 0.766 0.661 0.940
Cl: 0.970 0.432 0.821

(6)
Starting from a structure optimized by DFT (GGA-PBE), the powder diffractogram of Zr2InAu2 was calculated for λ = 1.5418 Å (Cu Kα).
Kinematic intensities with the Lorentz-polarization factor, no thermal factor.

Largest 12 diffraction maxima, low angle first, 2θ from 10° to 80°:
- 2θ = 16.39°, rel. 12
- 2θ = 24.68°, rel. 19
- 2θ = 26.06°, rel. 14
- 2θ = 34.17°, rel. 13
- 2θ = 36.19°, rel. 100
- 2θ = 37.18°, rel. 44
- 2θ = 42.63°, rel. 13
- 2θ = 45.14°, rel. 17
- 2θ = 49.88°, rel. 14
- 2θ = 50.62°, rel. 18
- 2θ = 64.44°, rel. 17
- 2θ = 71.39°, rel. 15

Structure:
a = 7.647 Å, b = 7.647 Å, c = 3.608 Å
α = 90.00°, β = 90.00°, γ = 90.00°
Fractional coordinates of all 10 atoms:
Zr: 0.170 0.330 0.000
Zr: 0.330 0.830 0.000
Zr: 0.670 0.170 0.000
Zr: 0.830 0.670 0.000
In: 0.000 0.000 0.500
In: 0.500 0.500 0.500
Au: 0.129 0.629 0.500
Au: 0.371 0.129 0.500
Au: 0.629 0.871 0.500
Au: 0.871 0.371 0.500

(7)
Starting from a structure optimized by DFT (GGA-PBE), the powder diffractogram of ZnSeO4 was calculated for λ = 1.5418 Å (Cu Kα).
Kinematic intensities with the Lorentz-polarization factor, no thermal factor.

Largest 12 diffraction maxima, low angle first, 2θ from 10° to 80°:
- 2θ = 20.26°, rel. 19
- 2θ = 23.27°, rel. 39
- 2θ = 24.05°, rel. 100
- 2θ = 32.44°, rel. 50
- 2θ = 33.02°, rel. 43
- 2θ = 34.39°, rel. 57
- 2θ = 36.00°, rel. 17
- 2θ = 44.44°, rel. 14
- 2θ = 49.24°, rel. 29
- 2θ = 53.03°, rel. 15
- 2θ = 60.01°, rel. 24
- 2θ = 64.74°, rel. 16

Structure:
a = 9.178 Å, b = 6.908 Å, c = 4.989 Å
α = 90.00°, β = 90.00°, γ = 90.00°
Fractional coordinates of all 24 atoms:
Zn: 0.000 0.000 0.000
Zn: 0.000 0.500 0.000
Zn: 0.500 0.000 0.500
Zn: 0.500 0.500 0.500
Se: 0.182 0.250 0.466
Se: 0.318 0.750 0.966
Se: 0.682 0.250 0.034
Se: 0.818 0.750 0.534
O: 0.121 0.250 0.783
O: 0.129 0.045 0.318
O: 0.129 0.455 0.318
O: 0.133 0.750 0.934
O: 0.367 0.250 0.434
O: 0.371 0.545 0.818
O: 0.371 0.955 0.818
O: 0.379 0.750 0.283
O: 0.621 0.250 0.717
O: 0.629 0.045 0.182
O: 0.629 0.455 0.182
O: 0.633 0.750 0.566
O: 0.867 0.250 0.066
O: 0.871 0.545 0.682
O: 0.871 0.955 0.682
O: 0.879 0.750 0.217

(8)
Starting from a structure optimized by DFT (GGA-PBE), the powder diffractogram of Gd2MgS4 was calculated for λ = 1.5418 Å (Cu Kα).
Kinematic intensities with the Lorentz-polarization factor, no thermal factor.

Largest 12 diffraction maxima, low angle first, 2θ from 10° to 80°:
- 2θ = 14.90°, rel. 57
- 2θ = 21.61°, rel. 42
- 2θ = 25.76°, rel. 89
- 2θ = 26.35°, rel. 100
- 2θ = 33.08°, rel. 45
- 2θ = 34.33°, rel. 47
- 2θ = 34.49°, rel. 90
- 2θ = 39.86°, rel. 79
- 2θ = 40.93°, rel. 54
- 2θ = 49.11°, rel. 36
- 2θ = 51.17°, rel. 37
- 2θ = 55.44°, rel. 26

Structure:
a = 7.233 Å, b = 7.233 Å, c = 7.233 Å
α = 110.71°, β = 110.71°, γ = 107.01°
Fractional coordinates of all 14 atoms:
Gd: 0.007 0.625 0.882
Gd: 0.375 0.257 0.382
Gd: 0.743 0.125 0.118
Gd: 0.875 0.993 0.618
Mg: 0.250 0.750 0.500
Mg: 0.500 0.500 0.000
S: 0.006 0.878 0.263
S: 0.122 0.386 0.128
S: 0.136 0.372 0.628
S: 0.257 0.994 0.872
S: 0.493 0.864 0.237
S: 0.614 0.743 0.737
S: 0.628 0.256 0.763
S: 0.744 0.507 0.372

(9)
Starting from a structure optimized by DFT (GGA-PBE), the powder diffractogram of U2NiGe2Pd was calculated for λ = 1.5418 Å (Cu Kα).
Kinematic intensities with the Lorentz-polarization factor, no thermal factor.

Largest 12 diffraction maxima, low angle first, 2θ from 10° to 80°:
- 2θ = 23.37°, rel. 32
- 2θ = 23.71°, rel. 12
- 2θ = 34.06°, rel. 31
- 2θ = 35.60°, rel. 100
- 2θ = 35.84°, rel. 42
- 2θ = 40.86°, rel. 32
- 2θ = 41.48°, rel. 45
- 2θ = 55.46°, rel. 24
- 2θ = 60.08°, rel. 17
- 2θ = 68.57°, rel. 15
- 2θ = 70.74°, rel. 12
- 2θ = 70.99°, rel. 14

Structure:
a = 4.417 Å, b = 7.505 Å, c = 6.733 Å
α = 90.00°, β = 90.00°, γ = 90.00°
Fractional coordinates of all 12 atoms:
U: 0.000 0.033 0.000
U: 0.000 0.967 0.500
U: 0.500 0.457 0.019
U: 0.500 0.543 0.519
Ni: 0.500 0.175 0.321
Ni: 0.500 0.825 0.821
Ge: 0.000 0.328 0.298
Ge: 0.000 0.672 0.798
Ge: 0.500 0.149 0.715
Ge: 0.500 0.851 0.215
Pd: 0.000 0.334 0.710
Pd: 0.000 0.666 0.210

(10)
Starting from a structure optimized by DFT (GGA-PBE), the powder diffractogram of NbOF3 was calculated for λ = 1.5418 Å (Cu Kα).
Kinematic intensities with the Lorentz-polarization factor, no thermal factor.

Largest 12 diffraction maxima, low angle first, 2θ from 10° to 80°:
- 2θ = 18.09°, rel. 40
- 2θ = 22.18°, rel. 32
- 2θ = 24.02°, rel. 100
- 2θ = 31.63°, rel. 12
- 2θ = 32.90°, rel. 18
- 2θ = 36.63°, rel. 15
- 2θ = 45.31°, rel. 22
- 2θ = 49.12°, rel. 13
- 2θ = 51.86°, rel. 14
- 2θ = 51.97°, rel. 17
- 2θ = 58.75°, rel. 10
- 2θ = 71.28°, rel. 12

Structure:
a = 5.668 Å, b = 5.668 Å, c = 9.782 Å
α = 90.00°, β = 90.00°, γ = 90.00°
Fractional coordinates of all 20 atoms:
Nb: 0.085 0.607 0.000
Nb: 0.393 0.085 0.250
Nb: 0.607 0.915 0.750
Nb: 0.915 0.393 0.500
O: 0.172 0.426 0.590
O: 0.426 0.828 0.340
O: 0.574 0.172 0.840
O: 0.828 0.574 0.090
F: 0.069 0.190 0.344
F: 0.072 0.345 0.881
F: 0.190 0.931 0.094
F: 0.298 0.437 0.128
F: 0.345 0.928 0.631
F: 0.437 0.702 0.878
F: 0.563 0.298 0.378
F: 0.655 0.072 0.131
F: 0.702 0.563 0.628
F: 0.810 0.069 0.594
F: 0.928 0.655 0.381
F: 0.931 0.810 0.844

(11)
Starting from a structure optimized by DFT (GGA-PBE), the powder diffractogram of Mg2Cu2O5 was calculated for λ = 1.5418 Å (Cu Kα).
Kinematic intensities with the Lorentz-polarization factor, no thermal factor.

Largest 12 diffraction maxima, low angle first, 2θ from 10° to 80°:
- 2θ = 23.72°, rel. 48
- 2θ = 25.49°, rel. 66
- 2θ = 34.82°, rel. 66
- 2θ = 35.10°, rel. 100
- 2θ = 37.83°, rel. 54
- 2θ = 40.34°, rel. 14
- 2θ = 48.54°, rel. 43
- 2θ = 52.36°, rel. 40
- 2θ = 61.13°, rel. 27
- 2θ = 62.61°, rel. 21
- 2θ = 63.14°, rel. 21
- 2θ = 74.17°, rel. 24

Structure:
a = 4.756 Å, b = 10.305 Å, c = 3.751 Å
α = 90.00°, β = 90.00°, γ = 90.00°
Fractional coordinates of all 18 atoms:
Mg: 0.211 0.099 0.000
Mg: 0.289 0.599 0.000
Mg: 0.711 0.401 0.000
Mg: 0.789 0.901 0.000
Cu: 0.213 0.366 0.500
Cu: 0.287 0.866 0.500
Cu: 0.713 0.134 0.500
Cu: 0.787 0.634 0.500
O: 0.000 0.000 0.500
O: 0.178 0.674 0.500
O: 0.226 0.393 0.000
O: 0.274 0.893 0.000
O: 0.322 0.174 0.500
O: 0.500 0.500 0.500
O: 0.678 0.826 0.500
O: 0.726 0.107 0.000
O: 0.774 0.607 0.000
O: 0.822 0.326 0.500

(12)
Starting from a structure optimized by DFT (GGA-PBE), the powder diffractogram of USi2RuRh was calculated for λ = 1.5418 Å (Cu Kα).
Kinematic intensities with the Lorentz-polarization factor, no thermal factor.

Largest 12 diffraction maxima, low angle first, 2θ from 10° to 80°:
- 2θ = 23.50°, rel. 50
- 2θ = 35.00°, rel. 39
- 2θ = 35.94°, rel. 100
- 2θ = 36.46°, rel. 18
- 2θ = 44.18°, rel. 35
- 2θ = 50.64°, rel. 14
- 2θ = 51.43°, rel. 14
- 2θ = 57.57°, rel. 19
- 2θ = 58.57°, rel. 19
- 2θ = 64.26°, rel. 12
- 2θ = 65.28°, rel. 17
- 2θ = 75.88°, rel. 23

Structure:
a = 4.100 Å, b = 4.100 Å, c = 9.858 Å
α = 90.00°, β = 90.00°, γ = 90.00°
Fractional coordinates of all 10 atoms:
U: 0.000 0.000 0.000
U: 0.500 0.500 0.500
Si: 0.000 0.000 0.378
Si: 0.000 0.000 0.622
Si: 0.500 0.500 0.122
Si: 0.500 0.500 0.878
Ru: 0.000 0.500 0.250
Ru: 0.500 0.000 0.750
Rh: 0.000 0.500 0.750
Rh: 0.500 0.000 0.250